1.
Calculated powder diffractogram
Compound: K3NaFeCl6
Radiation: a wavelength of 1.5418 Å
Structure: a cell relaxed with GGA-PBE
No peak broadening, texture or thermal motion is included.

Principal peaks in the range 2θ from 10° to 90°, sorted by position:
- 2θ 13.8, I 95
- 2θ 15.1, I 84
- 2θ 30.5, I 39
- 2θ 31.7, I 100
- 2θ 34.7, I 83
- 2θ 41.7, I 85

Structure:
Lattice parameters (Å, degrees): 7.776 7.776 7.776 111.64 111.64 111.64
Atoms (fractional coordinates):
K: 0.000 0.500 0.500
K: 0.500 0.000 0.500
K: 0.500 0.500 0.000
Na: 0.000 0.000 0.000
Fe: 0.500 0.500 0.500
Cl: 0.194 0.194 0.469
Cl: 0.194 0.469 0.194
Cl: 0.469 0.194 0.194
Cl: 0.531 0.806 0.806
Cl: 0.806 0.531 0.806
Cl: 0.806 0.806 0.531

***

2.
Calculated powder diffractogram
Compound: K3NaFeCl6
Radiation: a wavelength of 1.5418 Å
Structure: a cell relaxed with GGA-PBE
No peak broadening, texture or thermal motion is included.

Principal peaks in the range 2θ from 10° to 90°, sorted by position:
- 2θ 14.6, I 35
- 2θ 15.3, I 51
- 2θ 31.3, I 57
- 2θ 34.2, I 52
- 2θ 35.3, I 100
- 2θ 45.7, I 32

Structure:
Lattice parameters (Å, degrees): 8.423 8.423 8.423 92.55 92.55 92.55
Atoms (fractional coordinates):
K: 0.126 0.750 0.374
K: 0.250 0.626 0.874
K: 0.374 0.126 0.750
K: 0.626 0.874 0.250
K: 0.750 0.374 0.126
K: 0.874 0.250 0.626
Na: 0.250 0.250 0.250
Na: 0.750 0.750 0.750
Fe: 0.000 0.000 0.000
Fe: 0.500 0.500 0.500
Cl: 0.044 0.920 0.715
Cl: 0.080 0.285 0.956
Cl: 0.215 0.420 0.544
Cl: 0.285 0.956 0.080
Cl: 0.420 0.544 0.215
Cl: 0.456 0.785 0.580
Cl: 0.544 0.215 0.420
Cl: 0.580 0.456 0.785
Cl: 0.715 0.044 0.920
Cl: 0.785 0.580 0.456
Cl: 0.920 0.715 0.044
Cl: 0.956 0.080 0.285

***

3.
Calculated powder diffractogram
Compound: KFePbCl6
Radiation: a wavelength of 1.5418 Å
Structure: a cell relaxed with GGA-PBE
No peak broadening, texture or thermal motion is included.

Principal peaks in the range 2θ from 10° to 90°, sorted by position:
- 2θ 13.9, I 85
- 2θ 20.2, I 94
- 2θ 25.6, I 71
- 2θ 29.2, I 75
- 2θ 38.2, I 100
- 2θ 45.0, I 44

Structure:
Lattice parameters (Å, degrees): 6.979 6.979 12.769 90.00 90.00 120.00
Atoms (fractional coordinates):
K: 0.000 0.000 0.000
K: 0.000 0.000 0.500
Fe: 0.333 0.667 0.250
Fe: 0.667 0.333 0.750
Pb: 0.333 0.667 0.750
Pb: 0.667 0.333 0.250
Cl: 0.065 0.402 0.145
Cl: 0.065 0.662 0.355
Cl: 0.338 0.402 0.355
Cl: 0.338 0.935 0.145
Cl: 0.402 0.065 0.645
Cl: 0.402 0.338 0.855
Cl: 0.598 0.662 0.145
Cl: 0.598 0.935 0.355
Cl: 0.662 0.065 0.855
Cl: 0.662 0.598 0.645
Cl: 0.935 0.338 0.645
Cl: 0.935 0.598 0.855

***

4.
Calculated powder diffractogram
Compound: K6Fe24S26Cl
Radiation: a wavelength of 1.5418 Å
Structure: a cell relaxed with GGA-PBE
No peak broadening, texture or thermal motion is included.

Principal peaks in the range 2θ from 10° to 90°, sorted by position:
- 2θ 10.0, I 80
- 2θ 15.5, I 80
- 2θ 31.4, I 91
- 2θ 39.8, I 80
- 2θ 52.3, I 52
- 2θ 52.5, I 100

Structure:
Lattice parameters (Å, degrees): 12.076 12.076 12.076 131.65 131.65 70.78
Atoms (fractional coordinates):
K: 0.000 0.300 0.300
K: 0.000 0.700 0.700
K: 0.153 0.153 0.000
K: 0.300 0.000 0.300
K: 0.700 0.000 0.700
K: 0.847 0.847 0.000
Fe: 0.051 0.550 0.235
Fe: 0.051 0.816 0.502
Fe: 0.184 0.685 0.235
Fe: 0.184 0.949 0.498
Fe: 0.301 0.301 0.735
Fe: 0.301 0.565 0.000
Fe: 0.315 0.550 0.498
Fe: 0.315 0.816 0.765
Fe: 0.435 0.435 0.735
Fe: 0.435 0.699 0.000
Fe: 0.450 0.685 0.502
Fe: 0.450 0.949 0.765
Fe: 0.550 0.051 0.235
Fe: 0.550 0.315 0.498
Fe: 0.565 0.301 0.000
Fe: 0.565 0.565 0.265
Fe: 0.685 0.184 0.235
Fe: 0.685 0.450 0.502
Fe: 0.699 0.435 0.000
Fe: 0.699 0.699 0.265
Fe: 0.816 0.051 0.502
Fe: 0.816 0.315 0.765
Fe: 0.949 0.184 0.498
Fe: 0.949 0.450 0.765
S: 0.002 0.749 0.253
S: 0.116 0.116 0.459
S: 0.116 0.657 0.000
S: 0.124 0.624 0.500
S: 0.251 0.500 0.751
S: 0.251 0.504 0.253
S: 0.251 0.998 0.747
S: 0.343 0.343 0.459
S: 0.343 0.884 0.000
S: 0.375 0.375 0.000
S: 0.376 0.876 0.500
S: 0.496 0.749 0.747
S: 0.500 0.251 0.751
S: 0.500 0.749 0.249
S: 0.504 0.251 0.253
S: 0.624 0.124 0.500
S: 0.625 0.625 0.000
S: 0.657 0.116 0.000
S: 0.657 0.657 0.541
S: 0.749 0.002 0.253
S: 0.749 0.496 0.747
S: 0.749 0.500 0.249
S: 0.876 0.376 0.500
S: 0.884 0.343 0.000
S: 0.884 0.884 0.541
S: 0.998 0.251 0.747
Cl: 0.000 0.000 0.000

***

5.
Calculated powder diffractogram
Compound: KV2FeCl8
Radiation: a wavelength of 1.5418 Å
Structure: a cell relaxed with GGA-PBE
No peak broadening, texture or thermal motion is included.

Principal peaks in the range 2θ from 10° to 90°, sorted by position:
- 2θ 19.7, I 100
- 2θ 21.4, I 54
- 2θ 30.6, I 40
- 2θ 31.8, I 57
- 2θ 40.0, I 87
- 2θ 49.7, I 47

Structure:
Lattice parameters (Å, degrees): 6.000 7.656 6.284 90.00 94.62 90.00
Atoms (fractional coordinates):
K: 0.000 0.000 0.000
V: 0.500 0.258 0.500
V: 0.500 0.742 0.500
Fe: 0.000 0.500 0.000
Cl: 0.254 0.287 0.173
Cl: 0.254 0.713 0.173
Cl: 0.280 0.500 0.645
Cl: 0.298 0.000 0.628
Cl: 0.702 0.000 0.372
Cl: 0.720 0.500 0.355
Cl: 0.746 0.287 0.827
Cl: 0.746 0.713 0.827

***

6.
Calculated powder diffractogram
Compound: LaFe2Cl
Radiation: a wavelength of 1.5418 Å
Structure: a cell relaxed with GGA-PBE
No peak broadening, texture or thermal motion is included.

Principal peaks in the range 2θ from 10° to 90°, sorted by position:
- 2θ 13.5, I 100
- 2θ 27.3, I 64
- 2θ 31.3, I 40
- 2θ 32.1, I 86
- 2θ 34.2, I 57
- 2θ 46.1, I 59

Structure:
Lattice parameters (Å, degrees): 3.940 3.944 6.925 104.59 92.16 119.30
Atoms (fractional coordinates):
La: 0.000 0.000 0.000
Fe: 0.453 0.879 0.334
Fe: 0.766 0.508 0.277
Cl: 0.558 0.140 0.696